Record 1
This entry pairs a crystal structure of DyY2Ga4Au with its simulated XRD peak list. Radiation: Cu Kα (weighted mean of Kα1 and Kα2). Structure: a DFT-relaxed cell (GGA-PBE, OQMD).

Main lines, low angle first (2θ from 5° to 70°):
25.41 deg, intensity 31; 26.97 deg, intensity 13; 32.93 deg, intensity 22; 33.23 deg, intensity 100; 34.75 deg, intensity 47; 40.73 deg, intensity 21; 40.97 deg, intensity 39; 43.09 deg, intensity 20; 46.71 deg, intensity 23; 59.15 deg, intensity 14

```
DyY2Ga4Au
1.0
6.611 0.000 0.000
0.000 2.203 5.969
0.000 -2.203 5.969
Dy Y Ga Au
1 2 4 1
direct
0.000 0.000 0.000
0.000 0.280 0.280
0.500 0.157 0.157
0.205 0.616 0.616
0.313 0.828 0.828
0.687 0.828 0.828
0.795 0.616 0.616
0.500 0.443 0.443
```


Record 2
This entry pairs a crystal structure of GdDyAu6 with its simulated XRD peak list. Radiation: Cu Kα (weighted mean of Kα1 and Kα2). Structure: a DFT-relaxed cell (GGA-PBE, OQMD).

Main lines, low angle first (2θ from 5° to 70°):
33.80 deg, intensity 27; 34.82 deg, intensity 9; 35.62 deg, intensity 42; 38.35 deg, intensity 100; 39.27 deg, intensity 52; 49.92 deg, intensity 18; 59.80 deg, intensity 9; 61.79 deg, intensity 17; 65.80 deg, intensity 21; 66.43 deg, intensity 11

```
GdDyAu6
1.0
5.041 0.000 0.000
0.000 6.186 0.000
0.000 0.000 5.152
Gd Dy Au
1 1 6
direct
0.000 0.000 0.000
0.500 0.500 0.689
0.000 0.259 0.506
0.000 0.500 0.010
0.000 0.741 0.506
0.500 0.000 0.676
0.500 0.245 0.183
0.500 0.755 0.183
```


Record 3
This entry pairs a crystal structure of GdDyAu with its simulated XRD peak list. Radiation: Cu Kα (weighted mean of Kα1 and Kα2). Structure: a DFT-relaxed cell (GGA-PBE, OQMD).

Main lines, low angle first (2θ from 5° to 70°):
25.85 deg, intensity 10; 33.03 deg, intensity 100; 35.38 deg, intensity 97; 44.33 deg, intensity 15; 49.18 deg, intensity 33; 53.14 deg, intensity 10; 62.03 deg, intensity 33; 63.52 deg, intensity 18; 65.47 deg, intensity 32; 69.76 deg, intensity 4

```
GdDyAu
1.0
5.074 0.000 0.000
-2.537 4.394 0.000
0.000 0.000 6.894
Gd Dy Au
2 2 2
direct
0.333 0.667 0.000
0.667 0.333 0.500
0.000 0.000 0.250
0.000 0.000 0.750
0.333 0.667 0.492
0.667 0.333 0.992
```


Record 4
This entry pairs a crystal structure of Gd2DyIn3Pt2Au with its simulated XRD peak list. Radiation: Cu Kα (weighted mean of Kα1 and Kα2). Structure: a DFT-relaxed cell (GGA-PBE, OQMD).

Main lines, low angle first (2θ from 5° to 70°):
22.82 deg, intensity 15; 32.72 deg, intensity 77; 35.17 deg, intensity 31; 35.39 deg, intensity 100; 40.07 deg, intensity 56; 42.52 deg, intensity 37; 47.29 deg, intensity 24; 60.28 deg, intensity 13; 63.67 deg, intensity 29; 64.89 deg, intensity 25

```
Gd2DyIn3Pt2Au
1.0
3.844 0.000 0.000
0.000 6.744 3.901
0.000 -6.744 3.901
Gd Dy In Pt Au
2 1 3 2 1
direct
0.000 0.204 0.796
0.000 0.796 0.204
0.000 0.387 0.387
0.500 0.064 0.064
0.500 0.528 0.795
0.500 0.795 0.528
0.500 0.131 0.462
0.500 0.462 0.131
0.000 0.795 0.795
```


Record 5
This entry pairs a crystal structure of DyHoGe2Au2 with its simulated XRD peak list. Radiation: Cu Kα (weighted mean of Kα1 and Kα2). Structure: a DFT-relaxed cell (GGA-PBE, OQMD).

Main lines, low angle first (2θ from 5° to 70°):
26.06 deg, intensity 36; 33.84 deg, intensity 100; 40.30 deg, intensity 76; 44.13 deg, intensity 22; 48.62 deg, intensity 7; 50.29 deg, intensity 6; 53.61 deg, intensity 27; 61.28 deg, intensity 8; 66.32 deg, intensity 17; 69.14 deg, intensity 34

```
DyHoGe2Au2
1.0
4.476 0.000 0.000
-2.238 3.876 0.000
0.000 0.000 7.257
Dy Ho Ge Au
1 1 2 2
direct
0.000 0.000 0.000
0.000 0.000 0.500
0.333 0.667 0.207
0.667 0.333 0.707
0.333 0.667 0.795
0.667 0.333 0.296
```


Record 6
This entry pairs a crystal structure of DyGeAuO3 with its simulated XRD peak list. Radiation: Cu Kα (weighted mean of Kα1 and Kα2). Structure: a DFT-relaxed cell (GGA-PBE, OQMD).

Main lines, low angle first (2θ from 5° to 70°):
21.73 deg, intensity 19; 27.89 deg, intensity 100; 32.84 deg, intensity 36; 34.62 deg, intensity 34; 34.90 deg, intensity 31; 40.65 deg, intensity 55; 49.12 deg, intensity 31; 49.48 deg, intensity 32; 51.86 deg, intensity 29; 63.50 deg, intensity 19

```
DyGeAuO3
1.0
2.930 0.000 0.000
-0.001 6.950 0.000
-1.387 -0.001 8.181
Dy Ge Au O
2 2 2 6
direct
0.000 0.000 0.000
0.007 0.500 0.010
0.334 0.735 0.659
0.673 0.235 0.351
0.315 0.239 0.614
0.691 0.739 0.396
0.121 0.410 0.271
0.132 0.062 0.269
0.489 0.248 0.976
0.517 0.748 0.034
0.878 0.562 0.741
0.882 0.911 0.738
```


What did the sixth record say?
This entry pairs a crystal structure of DyGeAuO3 with its simulated XRD peak list. Radiation: Cu Kα (weighted mean of Kα1 and Kα2). Structure: a DFT-relaxed cell (GGA-PBE, OQMD).

Main lines, low angle first (2θ from 5° to 70°):
21.73 deg, intensity 19; 27.89 deg, intensity 100; 32.84 deg, intensity 36; 34.62 deg, intensity 34; 34.90 deg, intensity 31; 40.65 deg, intensity 55; 49.12 deg, intensity 31; 49.48 deg, intensity 32; 51.86 deg, intensity 29; 63.50 deg, intensity 19

```
DyGeAuO3
1.0
2.930 0.000 0.000
-0.001 6.950 0.000
-1.387 -0.001 8.181
Dy Ge Au O
2 2 2 6
direct
0.000 0.000 0.000
0.007 0.500 0.010
0.334 0.735 0.659
0.673 0.235 0.351
0.315 0.239 0.614
0.691 0.739 0.396
0.121 0.410 0.271
0.132 0.062 0.269
0.489 0.248 0.976
0.517 0.748 0.034
0.878 0.562 0.741
0.882 0.911 0.738
```